Calculated powder X-ray diffraction pattern of RbCrPdF6 for a wavelength of 1.5418 Å, from a cell relaxed with PBE+U.
Kinematic intensities with the Lorentz-polarization factor, no thermal factor.

Crystal structure
abc: 5.6164 5.6164 5.9364
angles: 90.07 90.07 120.09
Positions (direct):
1 Rb 0.0000 0.0000 0.0000
2 Cr 0.6666 0.3334 0.5000
3 Pd 0.3335 0.6665 0.5000
4 F 0.3869 0.0339 0.3164
5 F 0.3884 0.3535 0.6843
6 F 0.6465 0.6116 0.3157
7 F 0.6477 0.0357 0.6844
8 F 0.9643 0.3523 0.3156
9 F 0.9661 0.6132 0.6836

Largest 12 diffraction maxima, by intensity, 5° ≤ 2θ ≤ 70°:
2θ (°), I (rel.)
23.65, 100
44.40, 36
31.88, 27
14.92, 25
40.08, 21
52.08, 18
56.81, 14
35.38, 14
44.50, 11
49.75, 11
30.11, 8
69.81, 6